Entry 1:
Structure and simulated XRD peak list of Pr3VGeO9 (a GGA+U-relaxed structure; Cu Kα (weighted mean of Kα1 and Kα2)).
Lines closer than 0.1° are merged.

Principal peaks in the range 2θ = 5–70°, in order of falling intensity:
(hkl)	2theta	I/Imax
2 2 -1	28.62	100.0
0 4 0	28.01	87.1
1 1 2	29.41	64.4
1 1 -3	27.63	48.3
1 2 -3	30.23	45.0
2 1 -1	25.87	42.8
2 2 3	51.59	26.5
1 3 2	35.65	25.8
3 0 -4	43.76	24.3
1 1 -2	19.75	23.2

Structure:
a b c (Å): 7.1774 12.7437 10.0178
angles (deg): 90.00 115.53 90.00
Space group P2_1/c (No. 14)
Symmetry-distinct sites (fractional):
Pr  0.0458  0.1306  0.3767 [4 per cell]
Pr  0.3675  0.6075  0.8745 [4 per cell]
Pr  0.3933  0.1342  0.1531 [4 per cell]
V  0.2192  0.6633  0.5221 [4 per cell]
Ge  0.1922  0.1017  0.7395 [4 per cell]
O  0.0248  0.1590  0.1256 [4 per cell]
O  0.0628  0.5755  0.9088 [4 per cell]
O  0.1744  0.1729  0.8839 [4 per cell]
O  0.2458  0.7484  0.1636 [4 per cell]
O  0.2824  0.5296  0.2758 [4 per cell]
O  0.2877  0.5460  0.6195 [4 per cell]
O  0.3112  0.1699  0.6377 [4 per cell]
O  0.3775  0.0793  0.3830 [4 per cell]
O  0.3938  0.7090  0.4603 [4 per cell]

Entry 2:
Structure and simulated XRD peak list of VGeO3 (a GGA+U-relaxed structure; Cu Kα (weighted mean of Kα1 and Kα2)).
Lines closer than 0.1° are merged.

Principal peaks in the range 2θ = 5–70°, in order of falling intensity:
(hkl)	2theta	I/Imax
2 2 1	33.41	100.0
3 1 0	28.97	95.0
1 3 -1	34.24	89.1
2 2 -1	29.87	86.7
0 0 2	34.55	69.8
5 3 1	61.23	48.4
1 3 -3	60.64	44.4
0 2 1	25.79	43.1
3 1 -1	31.22	39.0
5 3 -1	55.77	34.8

Structure:
a b c (Å): 9.9583 9.2527 5.2729
angles (deg): 90.00 100.01 90.00
Space group C2/c (No. 15)
Symmetry-distinct sites (fractional):
V  0.0000  0.0912  0.2500 [4 per cell]
V  0.0000  0.2732  0.7500 [4 per cell]
Ge  0.2000  0.4057  0.2914 [8 per cell]
O  0.1193  0.0929  0.6372 [8 per cell]
O  0.1205  0.2583  0.1277 [8 per cell]
O  0.1412  0.4342  0.5983 [8 per cell]